# 1
Diffraction record for PrMg6Cd2. The powder diffraction line list is theoretical, not measured: it uses a GGA-PBE-relaxed structure and copper Kα.
Peak positions follow from Bragg's law for the DFT cell and can differ from measured ones.

Top 10 peaks for 2θ = 10–80°, sorted by position:
hkl	2θ (°)	intensity
1 0 2	25.66	38
1 1 0	28.25	72
1 1 1	29.41	98
1 0 3	31.51	100
1 1 2	32.67	75
1 0 4	38.36	85
2 0 0	40.38	74
1 0 5	45.87	33
2 1 3	52.10	47
2 1 4	56.91	52

Cell and atoms:
```
data_PrMg6Cd2
_space_group_name_H-M_alt 'P 4/m m m'
_space_group_IT_number 123
_space_group_name_Hall '-P 4 2'
_cell_length_a 4.467
_cell_length_b 4.467
_cell_length_c 11.031
_cell_angle_alpha 90.00
_cell_angle_beta 90.00
_cell_angle_gamma 90.00
loop_
_atom_site_label
_atom_site_fract_x
_atom_site_fract_y
_atom_site_fract_z
_atom_site_occupancy
Pr1 0.000 0.000 0.000 1
Mg1 0.000 0.000 0.500 1
Mg2 0.000 0.500 0.292 1
Mg3 0.500 0.500 0.500 1
Cd1 0.500 0.500 0.126 1
```


# 2
Diffraction record for Pr4Mg3Cd2. The powder diffraction line list is theoretical, not measured: it uses a GGA-PBE-relaxed structure and copper Kα.
Peak positions follow from Bragg's law for the DFT cell and can differ from measured ones.

Top 10 peaks for 2θ = 10–80°, sorted by position:
hkl	2θ (°)	intensity
0 0 2	17.30	12
0 1 1	20.77	42
0 1 3	32.37	100
1 1 0	32.97	100
2 0 3	46.88	35
1 0 6	57.36	14
1 2 3	58.50	36
3 0 0	58.88	18
2 1 6	77.45	12
3 1 3	78.44	15

Cell and atoms:
```
data_Pr4Mg3Cd2
_space_group_name_H-M_alt 'P -3 m 1'
_space_group_IT_number 164
_space_group_name_Hall '-P 3 2"'
_cell_length_a 5.4333
_cell_length_b 5.4333
_cell_length_c 10.2546
_cell_angle_alpha 90.00
_cell_angle_beta 90.00
_cell_angle_gamma 120.00
loop_
_atom_site_label
_atom_site_fract_x
_atom_site_fract_y
_atom_site_fract_z
_atom_site_occupancy
Pr1 0.0000 0.0000 0.1693 1
Pr2 0.3333 0.6667 0.6194 1
Mg1 0.0000 0.0000 0.5000 1
Mg2 0.3333 0.6667 0.9947 1
Cd1 0.3333 0.6667 0.2995 1
```


# 3
Diffraction record for PrMg2Cd2. The powder diffraction line list is theoretical, not measured: it uses a GGA-PBE-relaxed structure and copper Kα.
Peak positions follow from Bragg's law for the DFT cell and can differ from measured ones.

Top 10 peaks for 2θ = 10–80°, sorted by position:
hkl	2θ (°)	intensity
1 1 0	21.68	33
0 0 2	25.19	49
1 1 2	33.47	55
1 2 1	33.80	100
2 0 0	35.29	33
0 3 1	41.17	23
2 0 2	43.85	22
1 2 3	50.15	22
2 3 1	55.31	19
3 2 1	62.38	16

Cell and atoms:
```
data_PrMg2Cd2
_space_group_name_H-M_alt 'I m m m'
_space_group_IT_number 71
_space_group_name_Hall '-I 2 2'
_cell_length_a 5.087
_cell_length_b 6.920
_cell_length_c 7.070
_cell_angle_alpha 90.00
_cell_angle_beta 90.00
_cell_angle_gamma 90.00
loop_
_atom_site_label
_atom_site_fract_x
_atom_site_fract_y
_atom_site_fract_z
_atom_site_occupancy
Pr1 0.000 0.000 0.000 1
Mg1 0.000 0.500 0.199 1
Cd1 0.000 0.201 0.500 1
```


# 4
Diffraction record for PrMg2Cd9. The powder diffraction line list is theoretical, not measured: it uses a GGA-PBE-relaxed structure and copper Kα.
Peak positions follow from Bragg's law for the DFT cell and can differ from measured ones.

Top 10 peaks for 2θ = 10–80°, sorted by position:
hkl	2θ (°)	intensity
3 2 1	29.39	13
3 1 2	33.13	100
4 2 0	33.67	62
1 0 3	35.47	20
4 0 2	38.09	14
2 1 3	38.66	16
5 0 1	39.59	60
5 4 1	50.48	17
5 5 2	59.88	30
5 3 4	66.43	12

Cell and atoms:
```
data_PrMg2Cd9
_space_group_name_H-M_alt 'I 41/a m d'
_space_group_IT_number 141
_cell_length_a 11.904
_cell_length_b 11.904
_cell_length_c 7.771
_cell_angle_alpha 90.00
_cell_angle_beta 90.00
_cell_angle_gamma 90.00
loop_
_space_group_symop_operation_xyz
'x,y,z'
'-x,-y,-z'
'-y+1/4,x+3/4,z+1/4'
'y+1/4,-x+3/4,-z+1/4'
'-x+1/2,-y,z+1/2'
'x+1/2,y,-z+1/2'
'y+1/4,-x+1/4,z+3/4'
'-y+1/4,x+1/4,-z+3/4'
'x,-y,-z'
'-x,y,z'
'-y+1/4,-x+1/4,-z+3/4'
'y+1/4,x+1/4,z+3/4'
'-x+1/2,y,-z+1/2'
'x+1/2,-y,z+1/2'
'y+1/4,x+3/4,-z+1/4'
'-y+1/4,-x+3/4,z+1/4'
'x+1/2,y+1/2,z+1/2'
'-x+1/2,-y+1/2,-z+1/2'
'-y+3/4,x+1/4,z+3/4'
'y+3/4,-x+1/4,-z+3/4'
'-x,-y+1/2,z'
'x,y+1/2,-z'
'y+3/4,-x+3/4,z+1/4'
'-y+3/4,x+3/4,-z+1/4'
'x+1/2,-y+1/2,-z+1/2'
'-x+1/2,y+1/2,z+1/2'
'-y+3/4,-x+3/4,-z+1/4'
'y+3/4,x+3/4,z+1/4'
'-x,y+1/2,-z'
'x,-y+1/2,z'
'y+3/4,x+1/4,-z+3/4'
'-y+3/4,-x+1/4,z+3/4'
loop_
_atom_site_label
_atom_site_fract_x
_atom_site_fract_y
_atom_site_fract_z
_atom_site_occupancy
Pr1 0.000 0.250 0.375 1
Mg1 0.000 0.000 0.000 1
Cd1 0.000 0.250 0.875 1
Cd2 0.121 0.047 0.673 1
```


# 5
Diffraction record for Pr2Mg5Cd4. The powder diffraction line list is theoretical, not measured: it uses a GGA-PBE-relaxed structure and copper Kα.
Peak positions follow from Bragg's law for the DFT cell and can differ from measured ones.

Top 10 peaks for 2θ = 10–80°, sorted by position:
hkl	2θ (°)	intensity
0 0 4	18.18	100
2 0 0	29.62	41
1 3 1	31.49	80
1 3 3	34.13	63
2 0 4	34.97	79
0 0 8	36.84	28
1 3 5	38.94	56
1 3 7	45.34	16
3 3 1	53.74	17
3 3 5	58.90	16

Cell and atoms:
```
data_Pr2Mg5Cd4
_space_group_name_H-M_alt 'F m m m'
_space_group_IT_number 69
_space_group_name_Hall '-F 2 2'
_cell_length_a 6.033
_cell_length_b 9.795
_cell_length_c 19.518
_cell_angle_alpha 90.00
_cell_angle_beta 90.00
_cell_angle_gamma 90.00
loop_
_atom_site_label
_atom_site_fract_x
_atom_site_fract_y
_atom_site_fract_z
_atom_site_occupancy
Pr1 0.000 0.000 0.106 1
Mg1 0.000 0.000 0.500 1
Mg2 0.250 0.250 0.000 1
Mg3 0.250 0.250 0.250 1
Cd1 0.000 0.159 0.369 1
```


# 6
Diffraction record for Pr2Mg3Cd. The powder diffraction line list is theoretical, not measured: it uses a GGA-PBE-relaxed structure and copper Kα.
Peak positions follow from Bragg's law for the DFT cell and can differ from measured ones.

Top 10 peaks for 2θ = 10–80°, sorted by position:
hkl	2θ (°)	intensity
0 2 2	19.48	44
1 1 3	21.38	11
2 2 2	32.93	100
0 4 0	34.08	72
0 4 4	39.55	7
2 4 4	48.11	35
4 0 0	54.09	7
2 6 2	60.27	35
0 6 6	60.97	9
4 4 0	65.50	21

Cell and atoms:
```
data_Pr2Mg3Cd
_space_group_name_H-M_alt 'F m m m'
_space_group_IT_number 69
_space_group_name_Hall '-F 2 2'
_cell_length_a 6.781
_cell_length_b 10.533
_cell_length_c 18.213
_cell_angle_alpha 90.00
_cell_angle_beta 90.00
_cell_angle_gamma 90.00
loop_
_atom_site_label
_atom_site_fract_x
_atom_site_fract_y
_atom_site_fract_z
_atom_site_occupancy
Pr1 0.249 0.000 0.000 1
Pr2 0.250 0.250 0.250 1
Mg1 0.000 0.000 0.333 1
Mg2 0.000 0.248 0.084 1
Cd1 0.000 0.000 0.167 1
```


# 7
Diffraction record for PrMg9Cd2. The powder diffraction line list is theoretical, not measured: it uses a GGA-PBE-relaxed structure and copper Kα.
Peak positions follow from Bragg's law for the DFT cell and can differ from measured ones.

Top 10 peaks for 2θ = 10–80°, sorted by position:
hkl	2θ (°)	intensity
1 1 0	17.73	100
3 0 0	30.96	25
1 1 1	32.48	80
2 2 0	35.90	68
3 0 1	41.53	42
2 2 1	45.49	19
4 1 0	48.12	16
4 1 1	56.04	31
2 2 2	68.02	20
5 2 1	74.12	15

Cell and atoms:
```
data_PrMg9Cd2
_space_group_name_H-M_alt 'P 6/m m m'
_space_group_IT_number 191
_space_group_name_Hall '-P 6 2'
_cell_length_a 10.0056
_cell_length_b 10.0056
_cell_length_c 3.3032
_cell_angle_alpha 90.00
_cell_angle_beta 90.00
_cell_angle_gamma 120.00
loop_
_atom_site_label
_atom_site_fract_x
_atom_site_fract_y
_atom_site_fract_z
_atom_site_occupancy
Pr1 0.0000 0.0000 0.0000 1
Mg1 0.0000 0.5000 0.0000 1
Mg2 0.1812 0.3624 0.5000 1
Cd1 0.3333 0.6667 0.0000 1
```


# 8
Diffraction record for Mg3CdPt4. The powder diffraction line list is theoretical, not measured: it uses a GGA-PBE-relaxed structure and copper Kα.
Peak positions follow from Bragg's law for the DFT cell and can differ from measured ones.

Top 10 peaks for 2θ = 10–80°, sorted by position:
hkl	2θ (°)	intensity
0 1 2	26.96	52
1 0 0	29.71	21
0 0 4	38.44	28
0 2 0	38.55	29
1 1 2	40.55	100
1 2 0	49.37	21
0 2 4	55.58	20
1 1 6	70.96	18
1 3 2	71.10	19
2 2 0	75.13	16

Cell and atoms:
```
data_Mg3CdPt4
_space_group_name_H-M_alt 'P m m m'
_space_group_IT_number 47
_cell_length_a 3.007
_cell_length_b 4.670
_cell_length_c 9.366
_cell_angle_alpha 90.00
_cell_angle_beta 90.00
_cell_angle_gamma 90.00
loop_
_space_group_symop_operation_xyz
'x,y,z'
'-x,-y,-z'
'-x,-y,z'
'x,y,-z'
'x,-y,-z'
'-x,y,z'
'-x,y,-z'
'x,-y,z'
loop_
_atom_site_label
_atom_site_fract_x
_atom_site_fract_y
_atom_site_fract_z
_atom_site_occupancy
Mg1 0.000 0.000 0.000 1
Mg2 0.000 0.500 0.249 1
Cd1 0.000 0.000 0.500 1
Pt1 0.500 0.000 0.239 1
Pt2 0.500 0.500 0.000 1
Pt3 0.500 0.500 0.500 1
```